Diffraction record for Co25Ni4. The X-ray diffraction stick pattern is simulated, not measured: it uses a cell relaxed with PBE and a wavelength of 1.5418 Å.
Peak positions follow from Bragg's law for the DFT cell and can differ from measured ones.

Principal peaks in the range 2θ = 10–80°, by angle:
- 2θ 39.4, intensity 1.7
- 2θ 42.2, intensity 8.0
- 2θ 44.9, intensity 100.0
- 2θ 49.9, intensity 26.1
- 2θ 52.3, intensity 9.7
- 2θ 54.6, intensity 15.1
- 2θ 71.4, intensity 1.1
- 2θ 73.3, intensity 2.0
- 2θ 77.2, intensity 4.5
- 2θ 79.0, intensity 7.7

Crystal structure
Cell lengths 7.4181, 7.4181, 7.4181 Å; angles 109.47, 109.47, 109.47 degrees
Fractional coordinates of all 29 atoms:
Co (0.0000, 0.0000, 0.0000)
Co (0.0000, 0.1912, 0.3746)
Co (0.0000, 0.3746, 0.1912)
Co (0.0000, 0.4007, 0.6828)
Co (0.0000, 0.6828, 0.4007)
Co (0.1834, 0.8088, 0.8088)
Co (0.1912, 0.0000, 0.3746)
Co (0.1912, 0.3746, 0.0000)
Co (0.2821, 0.5993, 0.5993)
Co (0.3172, 0.3172, 0.7179)
Co (0.3172, 0.7179, 0.3172)
Co (0.3746, 0.0000, 0.1912)
Co (0.3746, 0.1912, 0.0000)
Co (0.4007, 0.0000, 0.6828)
Co (0.4007, 0.6828, 0.0000)
Co (0.5993, 0.2821, 0.5993)
Co (0.5993, 0.5993, 0.2821)
Co (0.6254, 0.6254, 0.8166)
Co (0.6254, 0.8166, 0.6254)
Co (0.6828, 0.0000, 0.4007)
Co (0.6828, 0.4007, 0.0000)
Co (0.7179, 0.3172, 0.3172)
Co (0.8088, 0.1834, 0.8088)
Co (0.8088, 0.8088, 0.1834)
Co (0.8166, 0.6254, 0.6254)
Ni (0.0000, 0.0000, 0.6484)
Ni (0.0000, 0.6484, 0.0000)
Ni (0.3516, 0.3516, 0.3516)
Ni (0.6484, 0.0000, 0.0000)


Diffraction record for LuMgIn4Ni2. The X-ray diffraction stick pattern is simulated, not measured: it uses a cell relaxed with PBE and a wavelength of 1.5418 Å.
Peak positions follow from Bragg's law for the DFT cell and can differ from measured ones.

Principal peaks in the range 2θ = 10–80°, by angle:
- 2θ 11.7, intensity 25.9
- 2θ 33.0, intensity 100.0
- 2θ 34.2, intensity 45.8
- 2θ 36.2, intensity 49.9
- 2θ 37.7, intensity 22.6
- 2θ 40.0, intensity 32.8
- 2θ 41.9, intensity 36.0
- 2θ 42.7, intensity 32.9
- 2θ 43.0, intensity 38.4
- 2θ 43.2, intensity 23.0

Crystal structure
Cell lengths 7.5739, 5.4553, 5.4553 Å; angles 45.40, 90.00, 90.00 degrees
Fractional coordinates of all 8 atoms:
Lu (0.0000, 0.0000, 0.0000)
Mg (0.5000, 0.8737, 0.8737)
In (0.2038, 0.2920, 0.2920)
In (0.3038, 0.5796, 0.5796)
In (0.6962, 0.5796, 0.5796)
In (0.7962, 0.2920, 0.2920)
Ni (0.0000, 0.7138, 0.7138)
Ni (0.5000, 0.1499, 0.1499)


Diffraction record for Li3FeS2. The X-ray diffraction stick pattern is simulated, not measured: it uses a cell relaxed with PBE and a wavelength of 1.5418 Å.
Peak positions follow from Bragg's law for the DFT cell and can differ from measured ones.

Principal peaks in the range 2θ = 10–80°, by angle:
- 2θ 13.5, intensity 65.0
- 2θ 13.8, intensity 62.4
- 2θ 15.5, intensity 73.4
- 2θ 27.2, intensity 16.5
- 2θ 27.8, intensity 100.0
- 2θ 35.8, intensity 18.5
- 2θ 45.3, intensity 55.6
- 2θ 46.0, intensity 76.1
- 2θ 46.7, intensity 26.3
- 2θ 54.3, intensity 15.6

Crystal structure
Cell lengths 6.8616, 3.8898, 7.0051 Å; angles 90.00, 110.60, 90.00 degrees
Fractional coordinates of all 12 atoms:
Li (0.1221, 0.0000, 0.1213)
Li (0.1273, 0.5017, 0.6284)
Li (0.3684, 0.5029, 0.3696)
Li (0.6316, 0.0029, 0.6304)
Li (0.8727, 0.0017, 0.3716)
Li (0.8779, 0.5000, 0.8787)
Fe (0.3987, 0.0043, 0.8990)
Fe (0.6013, 0.5043, 0.1010)
S (0.0104, 0.0008, 0.7532)
S (0.4995, 0.5032, 0.7440)
S (0.5005, 0.0032, 0.2560)
S (0.9896, 0.5008, 0.2468)


Diffraction record for Ba5Tm8Zn4O21. The X-ray diffraction stick pattern is simulated, not measured: it uses a cell relaxed with PBE and a wavelength of 1.5418 Å.
Peak positions follow from Bragg's law for the DFT cell and can differ from measured ones.

Principal peaks in the range 2θ = 10–80°, by angle:
- 2θ 28.4, intensity 47.7
- 2θ 29.3, intensity 16.6
- 2θ 31.4, intensity 100.0
- 2θ 31.7, intensity 42.8
- 2θ 36.6, intensity 36.0
- 2θ 38.6, intensity 13.2
- 2θ 43.7, intensity 19.1
- 2θ 46.8, intensity 19.3
- 2θ 48.2, intensity 11.5
- 2θ 56.2, intensity 19.4

Crystal structure
Cell lengths 10.0349, 10.0349, 10.0349 Å; angles 94.55, 94.55, 147.28 degrees
Fractional coordinates of all 38 atoms:
Ba (0.0000, 0.0000, 0.0000)
Ba (0.1399, 0.5367, 0.6766)
Ba (0.4633, 0.1399, 0.6032)
Ba (0.5367, 0.8601, 0.3968)
Ba (0.8601, 0.4633, 0.3234)
Tm (0.1683, 0.2476, 0.4159)
Tm (0.2476, 0.8317, 0.0793)
Tm (0.3577, 0.4119, 0.7696)
Tm (0.4119, 0.6423, 0.0542)
Tm (0.5881, 0.3577, 0.9458)
Tm (0.6423, 0.5881, 0.2304)
Tm (0.7524, 0.1683, 0.9207)
Tm (0.8317, 0.7524, 0.5841)
Zn (0.0406, 0.7506, 0.7912)
Zn (0.2494, 0.0406, 0.2900)
Zn (0.7506, 0.9594, 0.7100)
Zn (0.9594, 0.2494, 0.2088)
O (0.0077, 0.8991, 0.4061)
O (0.0398, 0.3713, 0.4111)
O (0.0743, 0.3002, 0.8718)
O (0.1009, 0.5070, 0.1086)
O (0.2025, 0.0743, 0.7742)
O (0.3002, 0.4283, 0.2258)
O (0.3713, 0.9602, 0.3314)
O (0.3984, 0.9923, 0.8914)
O (0.4283, 0.2025, 0.1282)
O (0.4930, 0.6016, 0.5939)
O (0.5000, 0.5000, 0.0000)
O (0.5070, 0.3984, 0.4061)
O (0.5717, 0.7975, 0.8718)
O (0.6016, 0.0077, 0.1086)
O (0.6287, 0.0398, 0.6686)
O (0.6998, 0.5717, 0.7742)
O (0.7975, 0.9257, 0.2258)
O (0.8991, 0.4930, 0.8914)
O (0.9257, 0.6998, 0.1282)
O (0.9602, 0.6287, 0.5889)
O (0.9923, 0.1009, 0.5939)


Diffraction record for GdY2Sn3Pb4. The X-ray diffraction stick pattern is simulated, not measured: it uses a cell relaxed with PBE and a wavelength of 1.5418 Å.
Peak positions follow from Bragg's law for the DFT cell and can differ from measured ones.

Principal peaks in the range 2θ = 10–80°, by angle:
- 2θ 32.6, intensity 100.0
- 2θ 33.5, intensity 20.8
- 2θ 39.3, intensity 15.8
- 2θ 40.4, intensity 14.9
- 2θ 52.6, intensity 11.8
- 2θ 53.5, intensity 11.2
- 2θ 59.3, intensity 13.5
- 2θ 67.1, intensity 12.9
- 2θ 68.4, intensity 10.9
- 2θ 68.6, intensity 12.1

Crystal structure
Cell lengths 13.5660, 13.5660, 4.5809 Å; angles 90.00, 90.00, 161.07 degrees
Fractional coordinates of all 10 atoms:
Gd (0.0000, 0.0000, 0.0000)
Y (0.3105, 0.6895, 0.5000)
Y (0.6895, 0.3105, 0.5000)
Sn (0.0953, 0.9047, 0.5000)
Sn (0.5000, 0.5000, 0.5000)
Sn (0.9047, 0.0953, 0.5000)
Pb (0.2086, 0.7914, 0.0000)
Pb (0.4032, 0.5968, 0.0000)
Pb (0.5968, 0.4032, 0.0000)
Pb (0.7914, 0.2086, 0.0000)


Diffraction record for Sr3Fe2P4. The X-ray diffraction stick pattern is simulated, not measured: it uses a cell relaxed with PBE and a wavelength of 1.5418 Å.
Peak positions follow from Bragg's law for the DFT cell and can differ from measured ones.

Principal peaks in the range 2θ = 10–80°, by angle:
- 2θ 21.7, intensity 29.1
- 2θ 26.6, intensity 31.2
- 2θ 27.5, intensity 31.0
- 2θ 28.5, intensity 100.0
- 2θ 30.6, intensity 36.1
- 2θ 31.6, intensity 29.6
- 2θ 37.8, intensity 43.6
- 2θ 38.4, intensity 32.5
- 2θ 44.2, intensity 33.8
- 2θ 46.3, intensity 29.7

Crystal structure
Cell lengths 7.2038, 14.9769, 3.9223 Å; angles 90.00, 90.00, 90.00 degrees
Fractional coordinates of all 18 atoms:
Sr (0.0000, 0.0000, 0.0000)
Sr (0.1760, 0.2799, 0.5000)
Sr (0.3240, 0.7799, 0.0000)
Sr (0.5000, 0.5000, 0.5000)
Sr (0.6760, 0.2201, 0.0000)
Sr (0.8240, 0.7201, 0.5000)
Fe (0.1072, 0.5754, 0.0000)
Fe (0.3928, 0.0754, 0.5000)
Fe (0.6072, 0.9246, 0.5000)
Fe (0.8928, 0.4246, 0.0000)
P (0.1974, 0.4360, 0.0000)
P (0.1989, 0.6381, 0.5000)
P (0.3011, 0.1381, 0.0000)
P (0.3026, 0.9360, 0.5000)
P (0.6974, 0.0640, 0.5000)
P (0.6989, 0.8619, 0.0000)
P (0.8011, 0.3619, 0.5000)
P (0.8026, 0.5640, 0.0000)


Diffraction record for Ba6Co25S27. The X-ray diffraction stick pattern is simulated, not measured: it uses a cell relaxed with PBE and a wavelength of 1.5418 Å.
Peak positions follow from Bragg's law for the DFT cell and can differ from measured ones.

Principal peaks in the range 2θ = 10–80°, by angle:
- 2θ 26.9, intensity 63.5
- 2θ 28.3, intensity 71.9
- 2θ 29.7, intensity 37.4
- 2θ 31.1, intensity 76.3
- 2θ 39.4, intensity 55.5
- 2θ 47.4, intensity 29.3
- 2θ 51.9, intensity 100.0
- 2θ 53.7, intensity 16.5
- 2θ 61.8, intensity 14.7
- 2θ 62.6, intensity 18.1

Crystal structure
Cell lengths 9.9600, 9.9600, 9.9600 Å; angles 90.00, 90.00, 90.00 degrees
Fractional coordinates of all 58 atoms:
Ba (0.0000, 0.0000, 0.3056)
Ba (0.0000, 0.0000, 0.6944)
Ba (0.0000, 0.3056, 0.0000)
Ba (0.0000, 0.6944, 0.0000)
Ba (0.3056, 0.0000, 0.0000)
Ba (0.6944, 0.0000, 0.0000)
Co (0.1304, 0.3710, 0.3710)
Co (0.1304, 0.3710, 0.6290)
Co (0.1304, 0.6290, 0.3710)
Co (0.1304, 0.6290, 0.6290)
Co (0.3710, 0.1304, 0.3710)
Co (0.3710, 0.1304, 0.6290)
Co (0.3710, 0.3710, 0.1304)
Co (0.3710, 0.3710, 0.8696)
Co (0.3710, 0.6290, 0.1304)
Co (0.3710, 0.6290, 0.8696)
Co (0.3710, 0.8696, 0.3710)
Co (0.3710, 0.8696, 0.6290)
Co (0.5000, 0.5000, 0.5000)
Co (0.6290, 0.1304, 0.3710)
Co (0.6290, 0.1304, 0.6290)
Co (0.6290, 0.3710, 0.1304)
Co (0.6290, 0.3710, 0.8696)
Co (0.6290, 0.6290, 0.1304)
Co (0.6290, 0.6290, 0.8696)
Co (0.6290, 0.8696, 0.3710)
Co (0.6290, 0.8696, 0.6290)
Co (0.8696, 0.3710, 0.3710)
Co (0.8696, 0.3710, 0.6290)
Co (0.8696, 0.6290, 0.3710)
Co (0.8696, 0.6290, 0.6290)
S (0.0000, 0.0000, 0.0000)
S (0.0000, 0.2549, 0.5000)
S (0.0000, 0.5000, 0.2549)
S (0.0000, 0.5000, 0.7451)
S (0.0000, 0.7451, 0.5000)
S (0.2389, 0.2389, 0.2389)
S (0.2389, 0.2389, 0.7611)
S (0.2389, 0.7611, 0.2389)
S (0.2389, 0.7611, 0.7611)
S (0.2549, 0.0000, 0.5000)
S (0.2549, 0.5000, 0.0000)
S (0.2615, 0.5000, 0.5000)
S (0.5000, 0.0000, 0.2549)
S (0.5000, 0.0000, 0.7451)
S (0.5000, 0.2549, 0.0000)
S (0.5000, 0.2615, 0.5000)
S (0.5000, 0.5000, 0.2615)
S (0.5000, 0.5000, 0.7385)
S (0.5000, 0.7385, 0.5000)
S (0.5000, 0.7451, 0.0000)
S (0.7385, 0.5000, 0.5000)
S (0.7451, 0.0000, 0.5000)
S (0.7451, 0.5000, 0.0000)
S (0.7611, 0.2389, 0.2389)
S (0.7611, 0.2389, 0.7611)
S (0.7611, 0.7611, 0.2389)
S (0.7611, 0.7611, 0.7611)


Diffraction record for Lu2Fe2B4Ir3. The X-ray diffraction stick pattern is simulated, not measured: it uses a cell relaxed with PBE and a wavelength of 1.5418 Å.
Peak positions follow from Bragg's law for the DFT cell and can differ from measured ones.

Principal peaks in the range 2θ = 10–80°, by angle:
- 2θ 16.0, intensity 50.6
- 2θ 31.0, intensity 85.2
- 2θ 37.7, intensity 40.3
- 2θ 37.9, intensity 52.6
- 2θ 38.9, intensity 100.0
- 2θ 41.3, intensity 46.7
- 2θ 42.3, intensity 20.3
- 2θ 47.5, intensity 21.8
- 2θ 64.7, intensity 21.3
- 2θ 69.2, intensity 19.7

Crystal structure
Cell lengths 7.2822, 6.1303, 5.4340 Å; angles 77.80, 55.37, 46.83 degrees
Fractional coordinates of all 11 atoms:
Lu (0.1456, 0.1456, 0.8544)
Lu (0.8544, 0.8544, 0.1456)
Fe (0.2500, 0.2500, 0.2500)
Fe (0.7500, 0.7500, 0.7500)
B (0.1993, 0.5158, 0.4842)
B (0.4842, 0.8007, 0.1993)
B (0.5158, 0.1993, 0.8007)
B (0.8007, 0.4842, 0.5158)
Ir (0.0000, 0.0000, 0.5000)
Ir (0.5000, 0.5000, 0.0000)
Ir (0.5000, 0.5000, 0.5000)


Diffraction record for Na3Ir3O8. The X-ray diffraction stick pattern is simulated, not measured: it uses a cell relaxed with PBE and a wavelength of 1.5418 Å.
Peak positions follow from Bragg's law for the DFT cell and can differ from measured ones.

Principal peaks in the range 2θ = 10–80°, by angle:
- 2θ 13.5, intensity 16.9
- 2θ 14.5, intensity 15.6
- 2θ 17.6, intensity 100.0
- 2θ 31.8, intensity 27.7
- 2θ 33.3, intensity 24.0
- 2θ 35.5, intensity 24.3
- 2θ 35.6, intensity 23.9
- 2θ 36.8, intensity 24.1
- 2θ 37.6, intensity 20.1
- 2θ 40.0, intensity 14.2

Crystal structure
Cell lengths 7.9047, 9.5691, 9.0055 Å; angles 90.00, 90.11, 90.00 degrees
Fractional coordinates of all 56 atoms:
Na (0.0319, 0.0000, 0.2538)
Na (0.1160, 0.1586, 0.6300)
Na (0.2439, 0.7652, 0.4827)
Na (0.2724, 0.2520, 0.9761)
Na (0.3777, 0.8936, 0.1261)
Na (0.4597, 0.0164, 0.7410)
Na (0.5403, 0.5164, 0.2590)
Na (0.6223, 0.3936, 0.8739)
Na (0.7276, 0.7520, 0.0239)
Na (0.7561, 0.2652, 0.5173)
Na (0.8840, 0.6586, 0.3700)
Na (0.9681, 0.5000, 0.7462)
Ir (0.1001, 0.8799, 0.8670)
Ir (0.1209, 0.3995, 0.3477)
Ir (0.1470, 0.6308, 0.0961)
Ir (0.3588, 0.6360, 0.8711)
Ir (0.3711, 0.4079, 0.6132)
Ir (0.3790, 0.1580, 0.3798)
Ir (0.6210, 0.6580, 0.6202)
Ir (0.6289, 0.9079, 0.3868)
Ir (0.6412, 0.1360, 0.1289)
Ir (0.8530, 0.1308, 0.9039)
Ir (0.8791, 0.8995, 0.6523)
Ir (0.8999, 0.3799, 0.1330)
O (0.0978, 0.0892, 0.8878)
O (0.0979, 0.8381, 0.0824)
O (0.1053, 0.6630, 0.8713)
O (0.1231, 0.4038, 0.5673)
O (0.1314, 0.9130, 0.6483)
O (0.1345, 0.1913, 0.3664)
O (0.1542, 0.6097, 0.3122)
O (0.1575, 0.4152, 0.1226)
O (0.3410, 0.4304, 0.8292)
O (0.3446, 0.8478, 0.8792)
O (0.3631, 0.6203, 0.6428)
O (0.3730, 0.3735, 0.3838)
O (0.3844, 0.9493, 0.3883)
O (0.3968, 0.1395, 0.1612)
O (0.3994, 0.2017, 0.5926)
O (0.4030, 0.6486, 0.0901)
O (0.5970, 0.1486, 0.9099)
O (0.6006, 0.7017, 0.4074)
O (0.6032, 0.6395, 0.8388)
O (0.6156, 0.4493, 0.6117)
O (0.6270, 0.8735, 0.6162)
O (0.6369, 0.1203, 0.3572)
O (0.6554, 0.3478, 0.1208)
O (0.6590, 0.9304, 0.1708)
O (0.8425, 0.9152, 0.8774)
O (0.8458, 0.1097, 0.6878)
O (0.8655, 0.6913, 0.6336)
O (0.8686, 0.4130, 0.3517)
O (0.8769, 0.9038, 0.4327)
O (0.8947, 0.1630, 0.1287)
O (0.9021, 0.3381, 0.9176)
O (0.9022, 0.5892, 0.1122)


Diffraction record for NdSnAu. The X-ray diffraction stick pattern is simulated, not measured: it uses a cell relaxed with PBE and a wavelength of 1.5418 Å.
Peak positions follow from Bragg's law for the DFT cell and can differ from measured ones.

Principal peaks in the range 2θ = 10–80°, by angle:
- 2θ 24.5, intensity 27.0
- 2θ 31.9, intensity 100.0
- 2θ 37.7, intensity 93.0
- 2θ 41.6, intensity 31.3
- 2θ 50.2, intensity 28.4
- 2θ 57.4, intensity 12.4
- 2θ 64.4, intensity 27.0
- 2θ 65.1, intensity 13.7
- 2θ 68.0, intensity 16.9
- 2θ 70.7, intensity 13.5

Crystal structure
Cell lengths 4.7738, 4.7738, 7.6412 Å; angles 90.00, 90.00, 120.00 degrees
Fractional coordinates of all 6 atoms:
Nd (0.0000, 0.0000, 0.0000)
Nd (0.0000, 0.0000, 0.5000)
Sn (0.3333, 0.6667, 0.2249)
Sn (0.6667, 0.3333, 0.7249)
Au (0.3333, 0.6667, 0.8186)
Au (0.6667, 0.3333, 0.3186)